No. 1
This entry pairs a crystal structure of CeNd5Ho with its calculated X-ray diffraction stick pattern. Radiation: Cu Ka. Structure: a DFT-relaxed cell (GGA-PBE, Alexandria).
No peak broadening, texture or thermal motion is included.

```
CeNd5Ho
1.0
6.343 0.000 0.000
-0.647 6.624 0.000
-0.630 -3.242 5.781
Ce Nd Ho
1 5 1
direct
0.000 0.000 0.000
0.000 0.000 0.500
0.266 0.577 0.579
0.498 0.813 0.182
0.502 0.187 0.818
0.734 0.423 0.421
0.000 0.500 0.000
```

Main lines, by angle (2θ from 5° to 70°):
- 26.91°, I = 32
- 30.31°, I = 44
- 30.95°, I = 25
- 31.29°, I = 36
- 31.75°, I = 45
- 31.97°, I = 100
- 32.68°, I = 58
- 32.76°, I = 27
- 34.52°, I = 21
- 34.85°, I = 24

---

No. 2
This entry pairs a crystal structure of CeNd2Ho4 with its calculated X-ray diffraction stick pattern. Radiation: Cu Ka. Structure: a DFT-relaxed cell (GGA-PBE, Alexandria).
No peak broadening, texture or thermal motion is included.

```
CeNd2Ho4
1.0
3.114 -1.795 0.000
3.114 1.795 0.000
-2.084 0.000 20.195
Ce Nd Ho
1 2 4
direct
0.000 0.000 0.000
0.819 0.819 0.426
0.909 0.909 0.714
0.098 0.098 0.280
0.196 0.196 0.571
0.626 0.626 0.858
0.720 0.720 0.141
```

Main lines, by angle (2θ from 5° to 70°):
- 28.73°, I = 33
- 31.01°, I = 63
- 32.34°, I = 100
- 33.06°, I = 100
- 50.82°, I = 43
- 55.52°, I = 20
- 56.93°, I = 22
- 60.73°, I = 51
- 61.54°, I = 16
- 61.98°, I = 16

---

No. 3
This entry pairs a crystal structure of CeNd2Ho7 with its calculated X-ray diffraction stick pattern. Radiation: Cu Ka. Structure: a DFT-relaxed cell (GGA-PBE, Alexandria).
No peak broadening, texture or thermal motion is included.

```
CeNd2Ho7
1.0
3.262 -14.414 0.000
3.262 14.414 0.000
0.000 0.000 3.464
Ce Nd Ho
1 2 7
direct
0.000 0.000 0.000
0.294 0.706 0.500
0.706 0.294 0.500
0.148 0.343 0.500
0.186 0.814 0.000
0.343 0.148 0.500
0.500 0.500 0.500
0.657 0.852 0.500
0.814 0.186 0.000
0.852 0.657 0.500
```

Main lines, by angle (2θ from 5° to 70°):
- 25.71°, I = 14
- 29.35°, I = 23
- 30.07°, I = 38
- 31.03°, I = 46
- 31.85°, I = 22
- 33.17°, I = 100
- 39.97°, I = 19
- 40.73°, I = 15
- 52.13°, I = 13
- 63.85°, I = 13

---

No. 4
This entry pairs a crystal structure of CeNd6Ho with its calculated X-ray diffraction stick pattern. Radiation: Cu Ka. Structure: a DFT-relaxed cell (GGA-PBE, Alexandria).
No peak broadening, texture or thermal motion is included.

```
CeNd6Ho
1.0
0.000 5.137 7.299
3.650 0.000 7.299
3.650 5.137 0.000
Ce Nd Ho
1 6 1
direct
0.000 0.000 0.000
0.122 0.122 0.378
0.248 0.248 0.752
0.378 0.378 0.122
0.622 0.622 0.878
0.752 0.752 0.248
0.878 0.878 0.622
0.500 0.500 0.500
```

Main lines, by angle (2θ from 5° to 70°):
- 30.04°, I = 100
- 34.76°, I = 34
- 34.93°, I = 17
- 49.98°, I = 12
- 50.11°, I = 24
- 59.42°, I = 29
- 59.65°, I = 14
- 62.43°, I = 12

---

No. 5
This entry pairs a crystal structure of CePm2NdHo5 with its calculated X-ray diffraction stick pattern. Radiation: Cu Ka. Structure: a DFT-relaxed cell (GGA-PBE, Alexandria).
No peak broadening, texture or thermal motion is included.

```
CePm2NdHo5
1.0
-4.339 4.339 7.732
4.339 -4.339 7.732
4.339 4.339 -7.732
Ce Pm Nd Ho
2 4 2 10
direct
0.250 0.750 0.500
0.750 0.250 0.500
0.119 0.619 0.738
0.381 0.119 0.500
0.619 0.881 0.500
0.881 0.381 0.262
0.250 0.250 0.000
0.750 0.750 0.000
0.000 0.000 0.000
0.065 0.158 0.500
0.158 0.658 0.093
0.342 0.435 0.500
0.435 0.935 0.093
0.500 0.500 0.000
0.565 0.065 0.907
0.658 0.565 0.500
0.842 0.342 0.907
0.935 0.842 0.500
```

Main lines, by angle (2θ from 5° to 70°):
- 28.79°, I = 62
- 29.10°, I = 50
- 30.98°, I = 100
- 32.63°, I = 18
- 37.17°, I = 13
- 37.83°, I = 17
- 43.36°, I = 22
- 46.61°, I = 15
- 47.01°, I = 13
- 52.78°, I = 18

---

No. 6
This entry pairs a crystal structure of CePrNd2Ho5 with its calculated X-ray diffraction stick pattern. Radiation: Cu Ka. Structure: a DFT-relaxed cell (GGA-PBE, Alexandria).
No peak broadening, texture or thermal motion is included.

```
CePrNd2Ho5
1.0
-4.349 4.349 7.771
4.349 -4.349 7.771
4.349 4.349 -7.771
Ce Pr Nd Ho
2 2 4 10
direct
0.250 0.750 0.500
0.750 0.250 0.500
0.250 0.250 0.000
0.750 0.750 0.000
0.119 0.619 0.739
0.381 0.119 0.500
0.619 0.881 0.500
0.881 0.381 0.261
0.000 0.000 0.000
0.066 0.157 0.500
0.157 0.657 0.092
0.343 0.434 0.500
0.434 0.934 0.092
0.500 0.500 0.000
0.566 0.066 0.908
0.657 0.566 0.500
0.843 0.343 0.908
0.934 0.843 0.500
```

Main lines, by angle (2θ from 5° to 70°):
- 28.70°, I = 60
- 29.03°, I = 50
- 30.86°, I = 100
- 32.55°, I = 17
- 34.60°, I = 16
- 37.73°, I = 17
- 43.25°, I = 21
- 46.48°, I = 15
- 46.76°, I = 14
- 52.62°, I = 19

---

No. 7
This entry pairs a crystal structure of CePrNd6Ho2 with its calculated X-ray diffraction stick pattern. Radiation: Cu Ka. Structure: a DFT-relaxed cell (GGA-PBE, Alexandria).
No peak broadening, texture or thermal motion is included.

```
CePrNd6Ho2
1.0
5.678 -3.495 0.000
5.678 3.495 0.000
-1.944 0.000 8.769
Ce Pr Nd Ho
1 1 6 2
direct
0.000 0.000 0.000
0.500 0.500 0.500
0.095 0.567 0.199
0.131 0.131 0.418
0.433 0.905 0.801
0.567 0.095 0.199
0.869 0.869 0.582
0.905 0.433 0.801
0.407 0.407 0.844
0.593 0.593 0.156
```

Main lines, by angle (2θ from 5° to 70°):
- 26.67°, I = 29
- 28.56°, I = 22
- 30.23°, I = 34
- 30.58°, I = 22
- 30.80°, I = 100
- 30.99°, I = 33
- 32.57°, I = 30
- 32.77°, I = 34
- 33.07°, I = 26
- 34.33°, I = 25

---

No. 8
This entry pairs a crystal structure of CeNd2SmHo with its calculated X-ray diffraction stick pattern. Radiation: Cu Ka. Structure: a DFT-relaxed cell (GGA-PBE, Alexandria).
No peak broadening, texture or thermal motion is included.

```
CeNd2SmHo
1.0
6.799 0.000 0.000
0.000 8.111 0.000
-0.011 0.000 6.135
Ce Nd Sm Ho
2 4 2 2
direct
0.000 0.000 0.000
0.000 0.000 0.500
0.267 0.311 0.251
0.267 0.689 0.751
0.733 0.311 0.249
0.733 0.689 0.749
0.000 0.358 0.750
0.000 0.642 0.250
0.500 0.126 0.750
0.500 0.874 0.250
```

Main lines, by angle (2θ from 5° to 70°):
- 28.47°, I = 18
- 29.11°, I = 26
- 29.49°, I = 52
- 32.05°, I = 100
- 33.13°, I = 15
- 33.91°, I = 37
- 34.42°, I = 15
- 35.74°, I = 19
- 36.73°, I = 19
- 53.50°, I = 22

---

No. 9
This entry pairs a crystal structure of CeNdHoTm2 with its calculated X-ray diffraction stick pattern. Radiation: Cu Ka. Structure: a DFT-relaxed cell (GGA-PBE, Alexandria).
No peak broadening, texture or thermal motion is included.

```
CeNdHoTm2
1.0
5.772 0.000 0.000
0.000 7.677 0.000
0.000 0.000 7.293
Ce Nd Ho Tm
2 2 2 4
direct
0.000 0.000 0.000
0.500 0.000 0.000
0.250 0.500 0.162
0.750 0.500 0.838
0.250 0.000 0.382
0.750 0.000 0.618
0.250 0.290 0.674
0.250 0.710 0.674
0.750 0.290 0.326
0.750 0.710 0.326
```

Main lines, by angle (2θ from 5° to 70°):
- 27.07°, I = 20
- 30.54°, I = 100
- 30.98°, I = 25
- 31.27°, I = 50
- 33.39°, I = 19
- 35.43°, I = 24
- 37.42°, I = 18
- 49.20°, I = 21
- 51.88°, I = 17
- 54.85°, I = 37

---

No. 10
This entry pairs a crystal structure of CeNd2Ho4Tm with its calculated X-ray diffraction stick pattern. Radiation: Cu Ka. Structure: a DFT-relaxed cell (GGA-PBE, Alexandria).
No peak broadening, texture or thermal motion is included.

```
CeNd2Ho4Tm
1.0
-3.368 5.867 6.585
3.368 -5.867 6.585
3.368 5.867 -6.585
Ce Nd Ho Tm
2 4 8 2
direct
0.000 0.000 0.000
0.500 0.000 0.500
0.000 0.500 0.500
0.500 0.000 0.000
0.500 0.500 0.000
0.500 0.500 0.500
0.238 0.242 0.996
0.245 0.236 0.491
0.245 0.753 0.009
0.254 0.758 0.496
0.746 0.242 0.504
0.755 0.247 0.991
0.755 0.764 0.509
0.762 0.758 0.004
0.000 0.000 0.500
0.000 0.500 0.000
```

Main lines, by angle (2θ from 5° to 70°):
- 27.08°, I = 68
- 30.47°, I = 51
- 30.60°, I = 100
- 41.21°, I = 44
- 41.32°, I = 87
- 54.23°, I = 20
- 61.65°, I = 27
- 61.88°, I = 13
- 63.71°, I = 12
- 65.01°, I = 33

---

No. 11
This entry pairs a crystal structure of Ce2NdHo6Tm3 with its calculated X-ray diffraction stick pattern. Radiation: Cu Ka. Structure: a DFT-relaxed cell (GGA-PBE, Alexandria).
No peak broadening, texture or thermal motion is included.

```
Ce2NdHo6Tm3
1.0
3.053 -5.287 0.000
3.053 5.287 0.000
-2.039 0.000 11.504
Ce Nd Ho Tm
2 1 6 3
direct
0.167 0.833 0.000
0.833 0.167 0.000
0.500 0.500 0.000
0.079 0.415 0.748
0.249 0.249 0.252
0.415 0.079 0.748
0.585 0.921 0.252
0.751 0.751 0.748
0.921 0.585 0.252
0.000 0.000 0.500
0.334 0.666 0.500
0.666 0.334 0.500
```

Main lines, by angle (2θ from 5° to 70°):
- 7.68°, I = 1
- 31.08°, I = 100
- 36.04°, I = 51
- 51.89°, I = 36
- 61.73°, I = 43
- 64.80°, I = 12

---

No. 12
This entry pairs a crystal structure of CeNdY2Ho with its calculated X-ray diffraction stick pattern. Radiation: Cu Ka. Structure: a DFT-relaxed cell (GGA-PBE, Alexandria).
No peak broadening, texture or thermal motion is included.

```
CeNdY2Ho
1.0
5.856 0.000 0.000
0.000 7.683 0.000
0.000 0.000 7.399
Ce Nd Y Ho
2 2 4 2
direct
0.000 0.000 0.000
0.500 0.000 0.000
0.250 0.500 0.159
0.750 0.500 0.841
0.250 0.288 0.672
0.250 0.712 0.672
0.750 0.288 0.328
0.750 0.712 0.328
0.250 0.000 0.379
0.750 0.000 0.621
```

Main lines, by angle (2θ from 5° to 70°):
- 11.52°, I = 22
- 23.15°, I = 28
- 26.74°, I = 26
- 30.34°, I = 100
- 30.53°, I = 21
- 30.87°, I = 73
- 34.98°, I = 57
- 38.33°, I = 22
- 48.82°, I = 29
- 54.15°, I = 35